1.
Computed XRD peak list
Compound: Th2Ga6Tc
Radiation: Cu Kα (weighted mean of Kα1 and Kα2)
Structure: a crystal structure in Alexandria, relaxed with GGA-PBE

Structural model:
```
Th2Ga6Tc
1.0
0.0000 4.4708 4.4708
4.4708 0.0000 4.4708
4.4708 4.4708 0.0000
Th Ga Tc
2 6 1
Direct
0.2500 0.2500 0.2500
0.7500 0.7500 0.7500
0.2144 0.2144 0.7856
0.2144 0.7856 0.2144
0.2144 0.7856 0.7856
0.7856 0.2144 0.2144
0.7856 0.2144 0.7856
0.7856 0.7856 0.2144
0.5000 0.5000 0.5000
```

Largest 12 diffraction maxima, by angle, 15° ≤ 2θ ≤ 90°:
4.471 Å, 19.86°, intensity 17; 3.161 Å, 28.23°, intensity 85; 2.581 Å, 34.75°, intensity 100; 2.235 Å, 40.35°, intensity 78; 2.051 Å, 44.15°, intensity 17; 1.999 Å, 45.36°, intensity 15; 1.825 Å, 49.97°, intensity 28; 1.581 Å, 58.38°, intensity 47; 1.414 Å, 66.09°, intensity 24; 1.348 Å, 69.77°, intensity 30; 1.291 Å, 73.36°, intensity 14; 1.195 Å, 80.36°, intensity 23

=====

2.
Computed XRD peak list
Compound: Cr3Cu3Te8
Radiation: Cu Kα (weighted mean of Kα1 and Kα2)
Structure: a crystal structure in Alexandria, relaxed with GGA-PBE

Structural model:
```
Cr3Cu3Te8
1.0
3.9250 2.2661 6.5531
-3.9250 2.2661 6.5531
0.0000 -4.5321 6.5531
Cr Cu Te
3 3 8
Direct
0.0000 0.5000 0.5000
0.5000 0.0000 0.5000
0.5000 0.5000 0.0000
0.1257 0.1257 0.1257
0.5000 0.5000 0.5000
0.8743 0.8743 0.8743
0.2560 0.2560 0.7263
0.2560 0.7263 0.2560
0.2569 0.2569 0.2569
0.2737 0.7440 0.7440
0.7263 0.2560 0.2560
0.7431 0.7431 0.7431
0.7440 0.2737 0.7440
0.7440 0.7440 0.2737
```

Largest 12 diffraction maxima, by angle, 15° ≤ 2θ ≤ 90°:
3.367 Å, 26.47°, intensity 13; 3.277 Å, 27.22°, intensity 24; 3.212 Å, 27.77°, intensity 71; 2.796 Å, 32.01°, intensity 100; 1.991 Å, 45.55°, intensity 57; 1.962 Å, 46.26°, intensity 55; 1.684 Å, 54.50°, intensity 20; 1.606 Å, 57.37°, intensity 17; 1.398 Å, 66.94°, intensity 16; 1.258 Å, 75.61°, intensity 14; 1.243 Å, 76.66°, intensity 13; 1.139 Å, 85.24°, intensity 16

=====

3.
Computed XRD peak list
Compound: GaPHPtS
Radiation: Cu Kα (weighted mean of Kα1 and Kα2)
Structure: a crystal structure in Alexandria, relaxed with GGA-PBE

Structural model:
```
GaPHPtS
1.0
4.0836 0.0000 0.0000
1.5222 3.8475 0.0000
1.0658 1.2810 5.9223
Ga P H Pt S
1 1 1 1 1
Direct
0.0000 0.0000 0.0000
0.7596 0.5353 0.1327
0.1873 0.7758 0.5612
0.2510 0.4700 0.3204
0.3174 0.9885 0.6454
```

Largest 12 diffraction maxima, by angle, 15° ≤ 2θ ≤ 90°:
3.783 Å, 23.52°, intensity 76; 3.530 Å, 25.23°, intensity 100; 3.252 Å, 27.43°, intensity 91; 3.069 Å, 29.10°, intensity 68; 2.909 Å, 30.74°, intensity 59; 2.610 Å, 34.36°, intensity 48; 2.437 Å, 36.88°, intensity 41; 2.094 Å, 43.20°, intensity 29; 1.973 Å, 46.00°, intensity 40; 1.959 Å, 46.34°, intensity 32; 1.890 Å, 48.14°, intensity 48; 1.880 Å, 48.41°, intensity 27

=====

4.
Computed XRD peak list
Compound: BaLiSc2Te4
Radiation: Cu Kα (weighted mean of Kα1 and Kα2)
Structure: a crystal structure in Alexandria, relaxed with GGA-PBE

Structural model:
```
BaLiSc2Te4
1.0
2.2126 -7.1948 0.0000
2.2126 7.1948 0.0000
0.0000 0.0000 14.9374
Ba Li Sc Te
2 2 4 8
Direct
0.1253 0.8747 0.7500
0.8747 0.1253 0.2500
0.1549 0.8451 0.2500
0.8451 0.1549 0.7500
0.3761 0.6239 0.5591
0.3761 0.6239 0.9409
0.6239 0.3761 0.0591
0.6239 0.3761 0.4409
0.0000 0.0000 0.0000
0.0000 0.0000 0.5000
0.2634 0.7366 0.1051
0.2634 0.7366 0.3949
0.4432 0.5568 0.7500
0.5568 0.4432 0.2500
0.7366 0.2634 0.6051
0.7366 0.2634 0.8949
```

Largest 12 diffraction maxima, by angle, 15° ≤ 2θ ≤ 90°:
3.314 Å, 26.90°, intensity 75; 3.243 Å, 27.51°, intensity 24; 3.224 Å, 27.67°, intensity 68; 3.178 Å, 28.08°, intensity 100; 2.982 Å, 29.97°, intensity 72; 2.440 Å, 36.83°, intensity 19; 2.213 Å, 40.78°, intensity 34; 2.171 Å, 41.60°, intensity 21; 2.161 Å, 41.81°, intensity 22; 1.840 Å, 49.53°, intensity 28; 1.784 Å, 51.20°, intensity 24; 1.395 Å, 67.09°, intensity 19

=====

5.
Computed XRD peak list
Compound: Pr2Dy4Er7
Radiation: Cu Kα (weighted mean of Kα1 and Kα2)
Structure: a crystal structure in Alexandria, relaxed with GGA-PBE

Structural model:
```
Pr2Dy4Er7
1.0
6.0447 0.0000 0.0000
-3.0224 5.2349 0.0000
0.0000 0.0000 13.3780
Pr Dy Er
2 4 7
Direct
0.3333 0.6667 0.0000
0.6667 0.3333 0.0000
0.0000 0.0000 0.3953
0.0000 0.0000 0.6047
0.3333 0.6667 0.5000
0.6667 0.3333 0.5000
0.0000 0.0000 0.0000
0.0000 0.3494 0.2157
0.0000 0.6506 0.7843
0.3494 0.0000 0.2157
0.3494 0.3494 0.7843
0.6506 0.0000 0.7843
0.6506 0.6506 0.2157
```

Largest 12 diffraction maxima, by angle, 15° ≤ 2θ ≤ 90°:
3.345 Å, 26.65°, intensity 20; 3.022 Å, 29.56°, intensity 13; 2.948 Å, 30.32°, intensity 49; 2.754 Å, 32.51°, intensity 100; 2.676 Å, 33.49°, intensity 15; 2.502 Å, 35.89°, intensity 32; 2.242 Å, 40.22°, intensity 14; 1.794 Å, 50.89°, intensity 19; 1.745 Å, 52.44°, intensity 30; 1.474 Å, 63.07°, intensity 15; 1.462 Å, 63.63°, intensity 27; 1.126 Å, 86.41°, intensity 12

=====

6.
Computed XRD peak list
Compound: Cu3BiTe2ClO8
Radiation: Cu Kα (weighted mean of Kα1 and Kα2)
Structure: a crystal structure in Alexandria, relaxed with GGA-PBE

Structural model:
```
Cu3BiTe2ClO8
1.0
14.4401 0.0000 0.0000
0.0000 10.0091 0.0000
0.0000 0.0000 6.4463
Cu Bi Te Cl O
12 4 8 4 32
Direct
0.1412 0.2500 0.1875
0.2404 0.0129 0.5123
0.2404 0.4871 0.5123
0.2596 0.5129 0.0123
0.2596 0.9871 0.0123
0.3588 0.7500 0.6875
0.6412 0.2500 0.3125
0.7404 0.0129 0.9877
0.7404 0.4871 0.9877
0.7596 0.5129 0.4877
0.7596 0.9871 0.4877
0.8588 0.7500 0.8125
0.1335 0.7500 0.7638
0.3665 0.2500 0.2638
0.6335 0.7500 0.7362
0.8665 0.2500 0.2362
0.0423 0.5640 0.2400
0.0423 0.9360 0.2400
0.4577 0.0640 0.7400
0.4577 0.4360 0.7400
0.5423 0.5640 0.2600
0.5423 0.9360 0.2600
0.9577 0.0640 0.7600
0.9577 0.4360 0.7600
0.1705 0.2500 0.7783
0.3295 0.7500 0.2783
0.6705 0.2500 0.7217
0.8295 0.7500 0.2217
0.0361 0.1200 0.1755
0.0361 0.3800 0.1755
0.1136 0.5588 0.4906
0.1136 0.9412 0.4906
0.1407 0.6037 0.0499
0.1407 0.8963 0.0499
0.2385 0.1135 0.2463
0.2385 0.3865 0.2463
0.2615 0.6135 0.7463
0.2615 0.8865 0.7463
0.3593 0.1037 0.5499
0.3593 0.3963 0.5499
0.3864 0.0588 0.9906
0.3864 0.4412 0.9906
0.4639 0.6200 0.6755
0.4639 0.8800 0.6755
0.5361 0.1200 0.3245
0.5361 0.3800 0.3245
0.6136 0.5588 0.0094
0.6136 0.9412 0.0094
0.6407 0.6037 0.4501
0.6407 0.8963 0.4501
0.7385 0.1135 0.2537
0.7385 0.3865 0.2537
0.7615 0.6135 0.7537
0.7615 0.8865 0.7537
0.8593 0.1037 0.9501
0.8593 0.3963 0.9501
0.8864 0.0588 0.5094
0.8864 0.4412 0.5094
0.9639 0.6200 0.8245
0.9639 0.8800 0.8245
```

Largest 12 diffraction maxima, by angle, 15° ≤ 2θ ≤ 90°:
5.858 Å, 15.12°, intensity 75; 5.420 Å, 16.36°, intensity 58; 3.467 Å, 25.69°, intensity 97; 3.223 Å, 27.68°, intensity 44; 3.150 Å, 28.34°, intensity 45; 3.004 Å, 29.74°, intensity 63; 2.963 Å, 30.16°, intensity 84; 2.928 Å, 30.53°, intensity 100; 2.537 Å, 35.38°, intensity 65; 2.168 Å, 41.66°, intensity 38; 1.734 Å, 52.81°, intensity 38; 1.669 Å, 55.01°, intensity 38

=====

7.
Computed XRD peak list
Compound: NbInHg
Radiation: Cu Kα (weighted mean of Kα1 and Kα2)
Structure: a crystal structure in Alexandria, relaxed with GGA-PBE

Structural model:
```
NbInHg
1.0
3.1167 0.0000 0.0000
-1.4988 5.2855 0.0000
-0.0645 -1.2279 7.9366
Nb In Hg
2 2 2
Direct
0.1449 0.2944 0.4364
0.8551 0.7056 0.5636
0.3603 0.7040 0.8907
0.6397 0.2960 0.1093
0.3981 0.8082 0.2660
0.6019 0.1918 0.7340
```

Largest 12 diffraction maxima, by angle, 15° ≤ 2θ ≤ 90°:
2.995 Å, 29.83°, intensity 24; 2.978 Å, 30.00°, intensity 24; 2.950 Å, 30.30°, intensity 23; 2.756 Å, 32.49°, intensity 38; 2.612 Å, 34.34°, intensity 58; 2.521 Å, 35.62°, intensity 81; 2.375 Å, 37.88°, intensity 18; 2.338 Å, 38.51°, intensity 100; 2.307 Å, 39.04°, intensity 44; 2.278 Å, 39.55°, intensity 45; 2.227 Å, 40.51°, intensity 34; 1.558 Å, 59.31°, intensity 19

=====

8.
Computed XRD peak list
Compound: Cs3Cu2I5
Radiation: Cu Kα (weighted mean of Kα1 and Kα2)
Structure: a crystal structure in Alexandria, relaxed with GGA-PBE

Structural model:
```
Cs3Cu2I5
1.0
10.4396 0.0000 0.0000
0.0000 11.8485 0.0000
0.0000 0.0000 14.6737
Cs Cu I
12 8 20
Direct
0.0529 0.0136 0.1747
0.0529 0.4864 0.1747
0.0923 0.7500 0.4524
0.4077 0.2500 0.9524
0.4471 0.5136 0.6747
0.4471 0.9864 0.6747
0.5529 0.0136 0.3253
0.5529 0.4864 0.3253
0.5923 0.7500 0.0476
0.9077 0.2500 0.5476
0.9471 0.5136 0.8253
0.9471 0.9864 0.8253
0.2133 0.7500 0.0435
0.2392 0.7500 0.8734
0.2608 0.2500 0.3734
0.2867 0.2500 0.5435
0.7133 0.7500 0.4565
0.7392 0.7500 0.6266
0.7608 0.2500 0.1266
0.7867 0.2500 0.9565
0.0331 0.2500 0.9864
0.1627 0.7500 0.7100
0.1923 0.0628 0.4489
0.1923 0.4372 0.4489
0.2060 0.2500 0.7096
0.2940 0.7500 0.2096
0.3077 0.5628 0.9489
0.3077 0.9372 0.9489
0.3373 0.2500 0.2100
0.4669 0.7500 0.4864
0.5331 0.2500 0.5136
0.6627 0.7500 0.7900
0.6923 0.0628 0.0511
0.6923 0.4372 0.0511
0.7060 0.2500 0.7904
0.7940 0.7500 0.2904
0.8077 0.5628 0.5511
0.8077 0.9372 0.5511
0.8373 0.2500 0.2900
0.9669 0.7500 0.0136
```

Largest 12 diffraction maxima, by angle, 15° ≤ 2θ ≤ 90°:
3.784 Å, 23.51°, intensity 36; 3.574 Å, 24.92°, intensity 27; 3.547 Å, 25.10°, intensity 49; 3.457 Å, 25.77°, intensity 100; 3.386 Å, 26.32°, intensity 21; 3.256 Å, 27.40°, intensity 33; 3.149 Å, 28.35°, intensity 17; 2.962 Å, 30.17°, intensity 37; 2.777 Å, 32.23°, intensity 15; 2.209 Å, 40.85°, intensity 16; 1.942 Å, 46.77°, intensity 17; 1.895 Å, 48.00°, intensity 17

=====

9.
Computed XRD peak list
Compound: Dy2HoCu4
Radiation: Cu Kα (weighted mean of Kα1 and Kα2)
Structure: a crystal structure in Alexandria, relaxed with GGA-PBE

Structural model:
```
Dy2HoCu4
1.0
5.0950 0.0000 0.0000
0.0000 5.0950 0.0000
0.0000 0.0000 11.4145
Dy Ho Cu
4 2 8
Direct
0.0000 0.0000 0.2116
0.0000 0.0000 0.7884
0.5000 0.5000 0.2884
0.5000 0.5000 0.7116
0.0000 0.0000 0.5000
0.5000 0.5000 0.0000
0.0000 0.5000 0.1174
0.0000 0.5000 0.3826
0.0000 0.5000 0.6174
0.0000 0.5000 0.8826
0.5000 0.0000 0.1174
0.5000 0.0000 0.3826
0.5000 0.0000 0.6174
0.5000 0.0000 0.8826
```

Largest 12 diffraction maxima, by angle, 15° ≤ 2θ ≤ 90°:
3.603 Å, 24.71°, intensity 18; 3.048 Å, 29.30°, intensity 91; 2.548 Å, 35.23°, intensity 100; 2.237 Å, 40.32°, intensity 94; 1.955 Å, 46.45°, intensity 45; 1.801 Å, 50.68°, intensity 35; 1.552 Å, 59.56°, intensity 28; 1.403 Å, 66.66°, intensity 40; 1.326 Å, 71.09°, intensity 22; 1.325 Å, 71.18°, intensity 13; 1.176 Å, 81.95°, intensity 16; 1.139 Å, 85.17°, intensity 15

=====

10.
Computed XRD peak list
Compound: TaTl8
Radiation: Cu Kα (weighted mean of Kα1 and Kα2)
Structure: a crystal structure in Alexandria, relaxed with GGA-PBE

Structural model:
```
TaTl8
1.0
-6.3073 6.3073 1.6496
6.3073 -6.3073 1.6496
6.3073 6.3073 -1.6496
Ta Tl
1 8
Direct
0.0000 0.0000 0.0000
0.0000 0.3305 0.3305
0.0000 0.6695 0.6695
0.3305 0.0000 0.3305
0.3530 0.3530 0.7059
0.3530 0.6470 0.0000
0.6470 0.3530 0.0000
0.6470 0.6470 0.2941
0.6695 0.0000 0.6695
```

Largest 12 diffraction maxima, by angle, 15° ≤ 2θ ≤ 90°:
2.973 Å, 30.05°, intensity 68; 2.596 Å, 34.56°, intensity 100; 2.102 Å, 43.02°, intensity 23; 1.650 Å, 55.72°, intensity 7; 1.634 Å, 56.31°, intensity 40; 1.487 Å, 62.47°, intensity 6; 1.442 Å, 64.61°, intensity 16; 1.414 Å, 66.09°, intensity 5; 1.330 Å, 70.87°, intensity 7; 1.298 Å, 72.88°, intensity 10; 1.290 Å, 73.40°, intensity 7; 1.100 Å, 89.03°, intensity 8

=====

11.
Computed XRD peak list
Compound: NdP3Os3
Radiation: Cu Kα (weighted mean of Kα1 and Kα2)
Structure: a crystal structure in Alexandria, relaxed with GGA-PBE

Structural model:
```
NdP3Os3
1.0
6.4516 0.0000 0.0000
0.0000 6.4516 0.0000
0.0000 0.0000 6.4516
Nd P Os
2 6 6
Direct
0.0000 0.0000 0.0000
0.5000 0.5000 0.5000
0.0000 0.2500 0.5000
0.0000 0.7500 0.5000
0.2500 0.5000 0.0000
0.5000 0.0000 0.2500
0.5000 0.0000 0.7500
0.7500 0.5000 0.0000
0.0000 0.5000 0.2500
0.0000 0.5000 0.7500
0.2500 0.0000 0.5000
0.5000 0.2500 0.0000
0.5000 0.7500 0.0000
0.7500 0.0000 0.5000
```

Largest 12 diffraction maxima, by angle, 15° ≤ 2θ ≤ 90°:
3.226 Å, 27.65°, intensity 43; 2.885 Å, 30.99°, intensity 94; 2.634 Å, 34.04°, intensity 100; 1.862 Å, 48.90°, intensity 24; 1.789 Å, 51.04°, intensity 24; 1.724 Å, 53.12°, intensity 56; 1.613 Å, 57.11°, intensity 27; 1.443 Å, 64.60°, intensity 16; 1.408 Å, 66.40°, intensity 22; 1.198 Å, 80.11°, intensity 20; 1.178 Å, 81.76°, intensity 16; 1.140 Å, 85.06°, intensity 18

=====

Number 8 is which compound? Cs3Cu2I5